[1]
Diffraction record for Li5B6C6. The PXRD pattern is theoretical, not measured: it uses a crystal structure in Alexandria, relaxed with PBE and Cu Kα.
Kinematic intensities with the Lorentz-polarization factor, no thermal factor.

Largest 8 diffraction maxima, low angle first, 2θ = 10–90°:
d (Å)  two_theta  I (rel.)
3.607  24.7  100
2.360  38.1  5
1.980  45.8  18
1.975  46.0  41
1.803  50.6  19
1.366  68.7  13
1.361  69.0  6
1.278  74.2  6

```
Li5B6C6
1.0
7.1073 -1.3609 0.0000
7.1073 1.3609 0.0000
-4.7478 0.0000 7.2132
Li B C
5 6 6
Direct
0.0000 0.0000 0.0000
0.1562 0.1562 0.5030
0.3332 0.3332 0.0006
0.6668 0.6668 0.9994
0.8438 0.8438 0.4970
0.0308 0.0308 0.7524
0.3035 0.3035 0.2436
0.3613 0.3613 0.7476
0.6387 0.6387 0.2524
0.6965 0.6965 0.7564
0.9692 0.9692 0.2476
0.1431 0.1431 0.7631
0.1958 0.1958 0.2517
0.4728 0.4728 0.7530
0.5272 0.5272 0.2470
0.8042 0.8042 0.7483
0.8569 0.8569 0.2369
```

[2]
Diffraction record for LiB4C4. The PXRD pattern is theoretical, not measured: it uses a crystal structure in Alexandria, relaxed with PBE and Cu Kα.
Kinematic intensities with the Lorentz-polarization factor, no thermal factor.

Largest 8 diffraction maxima, low angle first, 2θ = 10–90°:
d (Å)  two_theta  I (rel.)
3.693  24.1  100
2.352  38.3  4
2.302  39.1  9
1.984  45.7  7
1.954  46.5  15
1.847  49.3  9
1.348  69.8  6
1.266  75.0  7

```
LiB4C4
1.0
0.0000 7.3870 2.6404
4.7031 0.0000 2.6404
4.7031 7.3870 0.0000
Li B C
2 8 8
Direct
0.0000 0.0000 0.0000
0.2500 0.2500 0.2500
0.2538 0.8170 0.5160
0.2545 0.3196 0.5127
0.3196 0.2545 0.9132
0.3368 0.7373 0.9304
0.7340 0.8368 0.9962
0.7373 0.3368 0.9955
0.8170 0.2538 0.4132
0.8368 0.7340 0.4330
0.0004 0.5756 0.2653
0.0913 0.9847 0.6744
0.0934 0.4842 0.6746
0.4842 0.0934 0.7478
0.5022 0.5754 0.7658
0.5754 0.5022 0.1566
0.5756 0.0004 0.1587
0.9847 0.0913 0.2496
```

[3]
Diffraction record for LiB2C2. The PXRD pattern is theoretical, not measured: it uses a crystal structure in Alexandria, relaxed with PBE and Cu Kα.
Kinematic intensities with the Lorentz-polarization factor, no thermal factor.

Largest 8 diffraction maxima, low angle first, 2θ = 10–90°:
d (Å)  two_theta  I (rel.)
3.700  24.1  100
1.999  45.4  11
1.983  45.8  7
1.965  46.2  10
1.918  47.4  6
1.850  49.3  12
1.334  70.6  7
1.099  89.1  7

```
LiB2C2
1.0
4.5913 0.0000 0.0000
0.0000 5.4635 0.0000
-0.2712 0.0000 7.3994
Li B C
4 8 8
Direct
0.0000 0.0000 0.0000
0.0000 0.0278 0.5000
0.0000 0.5015 0.0000
0.5000 0.7246 0.5000
0.1578 0.7503 0.2616
0.1608 0.2536 0.2608
0.3438 0.5003 0.7673
0.3470 0.0020 0.7670
0.6530 0.0020 0.2330
0.6562 0.5003 0.2327
0.8392 0.2536 0.7392
0.8422 0.7503 0.7384
0.1835 0.2501 0.7694
0.1868 0.7521 0.7663
0.3145 0.0013 0.2666
0.3176 0.5019 0.2599
0.6824 0.5019 0.7401
0.6855 0.0013 0.7334
0.8132 0.7521 0.2337
0.8165 0.2501 0.2306
```

[4]
Diffraction record for Li7B8C8. The PXRD pattern is theoretical, not measured: it uses a crystal structure in Alexandria, relaxed with PBE and Cu Kα.
Kinematic intensities with the Lorentz-polarization factor, no thermal factor.

Largest 8 diffraction maxima, low angle first, 2θ = 10–90°:
d (Å)  two_theta  I (rel.)
3.567  25.0  100
2.369  38.0  7
1.973  46.0  65
1.783  51.2  20
1.368  68.6  21
1.278  74.2  3
1.277  74.3  6
1.124  86.6  7

```
Li7B8C8
1.0
4.7346 0.0000 0.0000
0.0000 5.4738 0.0000
-0.0056 0.0000 7.1337
Li B C
7 8 8
Direct
0.0000 0.0000 0.0000
0.0000 0.0000 0.5000
0.0000 0.5000 0.0000
0.5000 0.2509 0.0000
0.5000 0.2584 0.5000
0.5000 0.7416 0.5000
0.5000 0.7491 0.0000
0.1634 0.2518 0.7493
0.1634 0.7482 0.7493
0.3334 0.5000 0.2475
0.3352 0.0000 0.2475
0.6648 0.0000 0.7525
0.6666 0.5000 0.7525
0.8366 0.2518 0.2507
0.8366 0.7482 0.2507
0.1688 0.2495 0.2452
0.1688 0.7505 0.2452
0.3299 0.0000 0.7477
0.3333 0.5000 0.7540
0.6667 0.5000 0.2460
0.6701 0.0000 0.2523
0.8312 0.2495 0.7548
0.8312 0.7505 0.7548
```

[5]
Diffraction record for Li5B8C8. The PXRD pattern is theoretical, not measured: it uses a crystal structure in Alexandria, relaxed with PBE and Cu Kα.
Kinematic intensities with the Lorentz-polarization factor, no thermal factor.

Largest 8 diffraction maxima, low angle first, 2θ = 10–90°:
d (Å)  two_theta  I (rel.)
3.696  24.1  100
2.342  38.4  6
1.985  45.7  12
1.978  45.9  28
1.848  49.3  14
1.356  69.3  8
1.350  69.6  5
1.273  74.5  7

```
Li5B8C8
1.0
7.7598 -1.3500 0.0000
7.7598 1.3500 0.0000
-2.8657 0.0000 8.9644
Li B C
5 8 8
Direct
0.0000 0.0000 0.0000
0.0017 0.0017 0.5476
0.2442 0.2442 0.1704
0.4940 0.4940 0.2689
0.7508 0.7508 0.8839
0.1147 0.1147 0.4124
0.1284 0.1284 0.9174
0.3732 0.3732 0.8769
0.3750 0.3750 0.3830
0.6164 0.6164 0.1644
0.6281 0.6281 0.6668
0.8711 0.8711 0.1275
0.8757 0.8757 0.6339
0.1106 0.1106 0.2447
0.1322 0.1322 0.7553
0.3712 0.3712 0.0430
0.3794 0.3794 0.5484
0.6131 0.6131 0.4967
0.6269 0.6269 0.0037
0.8736 0.8736 0.2951
0.8742 0.8742 0.7958
```

[6]
Diffraction record for Li5B8C8. The PXRD pattern is theoretical, not measured: it uses a crystal structure in Alexandria, relaxed with PBE and Cu Kα.
Kinematic intensities with the Lorentz-polarization factor, no thermal factor.

Largest 8 diffraction maxima, low angle first, 2θ = 10–90°:
d (Å)  two_theta  I (rel.)
7.218  12.3  16
3.609  24.7  100
1.979  45.8  21
1.969  46.1  16
1.959  46.4  7
1.804  50.6  15
1.358  69.2  10
1.275  74.4  6

```
Li5B8C8
1.0
7.2182 0.0000 0.0000
0.0000 2.7278 0.0000
-0.1051 0.0000 9.3948
Li B C
5 8 8
Direct
0.0000 0.0000 0.0000
0.0000 0.0000 0.5000
0.0022 0.5000 0.2488
0.5000 0.0000 0.0000
0.9978 0.5000 0.7512
0.2439 0.5000 0.9168
0.2466 0.0000 0.6674
0.2466 0.5000 0.4177
0.2516 0.0000 0.1695
0.7484 0.0000 0.8305
0.7534 0.0000 0.3326
0.7534 0.5000 0.5823
0.7561 0.5000 0.0832
0.2381 0.5000 0.5867
0.2389 0.0000 0.8362
0.2402 0.0000 0.3369
0.2482 0.5000 0.0862
0.7518 0.5000 0.9138
0.7598 0.0000 0.6631
0.7611 0.0000 0.1638
0.7619 0.5000 0.4133
```

[7]
Diffraction record for Li5B8C8. The PXRD pattern is theoretical, not measured: it uses a crystal structure in Alexandria, relaxed with PBE and Cu Kα.
Kinematic intensities with the Lorentz-polarization factor, no thermal factor.

Largest 8 diffraction maxima, low angle first, 2θ = 10–90°:
d (Å)  two_theta  I (rel.)
3.641  24.4  100
2.343  38.4  7
1.997  45.4  7
1.980  45.8  14
1.961  46.3  20
1.821  50.1  15
1.358  69.2  9
1.265  75.1  6

```
Li5B8C8
1.0
7.6089 -1.3501 0.0000
7.6089 1.3501 0.0000
-2.7299 0.0000 9.0218
Li B C
5 8 8
Direct
0.0000 0.0000 0.0000
0.2458 0.2458 0.1412
0.4986 0.4986 0.2684
0.5014 0.5014 0.7316
0.7542 0.7542 0.8588
0.1270 0.1270 0.3929
0.1276 0.1276 0.8946
0.3702 0.3702 0.3584
0.3817 0.3817 0.8574
0.6183 0.6183 0.1426
0.6298 0.6298 0.6416
0.8724 0.8724 0.1054
0.8730 0.8730 0.6071
0.1158 0.1158 0.2238
0.1304 0.1304 0.7301
0.3725 0.3725 0.5219
0.3753 0.3753 0.0217
0.6247 0.6247 0.9783
0.6275 0.6275 0.4781
0.8696 0.8696 0.2699
0.8842 0.8842 0.7762
```

[8]
Diffraction record for Li5B8C8. The PXRD pattern is theoretical, not measured: it uses a crystal structure in Alexandria, relaxed with PBE and Cu Kα.
Kinematic intensities with the Lorentz-polarization factor, no thermal factor.

Largest 8 diffraction maxima, low angle first, 2θ = 10–90°:
d (Å)  two_theta  I (rel.)
3.628  24.5  100
2.354  38.2  6
1.980  45.8  21
1.969  46.1  14
1.955  46.5  7
1.814  50.3  14
1.362  69.0  5
1.354  69.4  9

```
Li5B8C8
1.0
7.2575 0.0000 0.0000
0.0000 2.7238 0.0000
-0.1216 0.0000 9.3593
Li B C
5 8 8
Direct
0.0000 0.0000 0.0000
0.0000 0.0000 0.5000
0.4915 0.5000 0.2712
0.5000 0.0000 0.0000
0.5085 0.5000 0.7288
0.2313 0.0000 0.3279
0.2539 0.0000 0.8264
0.2543 0.5000 0.5770
0.2584 0.5000 0.0801
0.7416 0.5000 0.9199
0.7461 0.0000 0.1736
0.7457 0.5000 0.4230
0.7687 0.0000 0.6721
0.2303 0.5000 0.4090
0.2564 0.0000 0.1607
0.2582 0.5000 0.9102
0.2611 0.0000 0.6586
0.7389 0.0000 0.3414
0.7418 0.5000 0.0898
0.7436 0.0000 0.8393
0.7697 0.5000 0.5910
```